This entry pairs a crystal structure of Zn2Si2As3P with its computed X-ray powder pattern. Radiation: Cu Kα (weighted mean of Kα1 and Kα2). Structure: the PBE geometry in OQMD.
Kinematic intensities with the Lorentz-polarization factor, no thermal factor.

Atomic structure:
Cell lengths 12.231, 5.615, 5.599 Å; angles 90.00, 116.90, 90.00 degrees
Space group C2 (No. 5)
Asymmetric unit:
Zn  0.122  0.000  0.363
Si  0.123  0.516  0.880
As  0.000  0.275  0.500
As  0.250  0.260  0.238
P  0.000  0.742  0.000

Main lines, by angle (2θ = 10–90°):
2θ (°), Rel. int., hkl
17.8, 18, 0 0 1
27.8, 92, 1 1 1
27.9, 100, 3 1 -1
45.8, 46, 2 2 -2
46.4, 66, 4 2 0
46.6, 22, 6 0 -2
54.4, 42, 1 3 1
55.5, 14, 5 1 1
55.7, 14, 7 1 -1
85.0, 14, 0 2 4